Structure and computed powder diffraction line list of HfCrO3 (a structure optimized by DFT (GGA+U); Cu Kα (weighted mean of Kα1 and Kα2)).
No peak broadening, texture or thermal motion is included.

```
data_HfCrO3
_space_group_name_H-M_alt 'P n m a'
_space_group_IT_number 62
_cell_length_a 5.335
_cell_length_b 9.376
_cell_length_c 4.925
_cell_angle_alpha 90.00
_cell_angle_beta 90.00
_cell_angle_gamma 90.00
loop_
_space_group_symop_operation_xyz
'x,y,z'
'-x,-y,-z'
'-x+1/2,-y,z+1/2'
'x+1/2,y,-z+1/2'
'x+1/2,-y+1/2,-z+1/2'
'-x+1/2,y+1/2,z+1/2'
'-x,y+1/2,-z'
'x,-y+1/2,z'
loop_
_atom_site_label
_atom_site_fract_x
_atom_site_fract_y
_atom_site_fract_z
Hf1 0.038 0.250 0.048
Cr1 0.000 0.000 0.500
O1 0.152 0.750 0.301
O2 0.225 0.605 0.782
```

Main lines, in order of falling intensity (10 to 90 degrees two-theta):
31.22°, I 100, (1 2 1)
18.93°, I 31, (0 2 0)
24.60°, I 22, (1 0 1)
38.40°, I 15, (0 4 0)
51.93°, I 14, (2 4 0)
33.60°, I 13, (2 0 0)
50.44°, I 13, (2 0 2)
58.60°, I 12, (3 2 1)
65.01°, I 12, (1 6 1)
41.52°, I 11, (1 1 2)